(1)
The following is a computed powder XRD pattern of Tb8Ho3Er4. It was derived from a GGA-PBE-relaxed structure, using Cu Kα (weighted mean of Kα1 and Kα2).
Neutral-atom scattering factors, no anomalous dispersion.

Top 12 peaks for 2θ = 5–70°, by angle:
Position (°2θ)	I_rel	(hkl)
27.01	18	1 1 3
30.11	29	0 2 1
30.61	58	0 0 12
31.71	100	0 2 4
34.79	14	1 1 9
36.46	73	2 0 8
51.80	24	0 2 16
53.22	38	2 2 0
61.38	16	2 0 20
62.66	45	2 2 12
63.29	14	4 0 4
66.24	13	0 4 8

Structure:
```
data_Tb8Ho3Er4
_chemical_formula_sum 'Tb24 Ho9 Er12'
_cell_length_a 6.8842
_cell_length_b 6.8842
_cell_length_c 35.0420
_cell_angle_alpha 90.00
_cell_angle_beta 90.00
_cell_angle_gamma 120.00
_symmetry_space_group_name_H-M 'R -3 m'
_symmetry_Int_Tables_number 166
_symmetry_space_group_name_Hall '-R 3 2"'
loop_
_atom_site_label
_atom_site_type_symbol
_atom_site_fract_x
_atom_site_fract_y
_atom_site_fract_z
Tb1 Tb 0.0000 0.0000 0.2452
Tb2 Tb 0.0015 0.5008 0.7503
Ho1 Ho 0.0000 0.5000 0.5000
Er1 Er 0.0000 0.0000 0.0000
Er2 Er 0.0000 0.0000 0.3361
Er3 Er 0.0000 0.0000 0.5000
```

=====

(2)
The following is a computed powder XRD pattern of Tb8Ho6Er. It was derived from a GGA-PBE-relaxed structure, using Cu Kα (weighted mean of Kα1 and Kα2).
Neutral-atom scattering factors, no anomalous dispersion.

Top 12 peaks for 2θ = 5–70°, by angle:
Position (°2θ)	I_rel	(hkl)
27.84	20	2 1 0
30.97	21	0 0 2
31.66	5	3 0 0
31.94	100	2 1 1
36.12	4	2 -1 2
41.47	5	4 -3 1
42.13	20	3 -2 2
49.26	19	1 4 0
55.71	17	3 -2 3
59.33	15	1 4 2
59.92	15	6 -4 1
66.77	6	4 2 2

Structure:
```
data_Tb8Ho6Er
_chemical_formula_sum 'Tb8 Ho6 Er1'
_cell_length_a 9.7891
_cell_length_b 9.7891
_cell_length_c 5.7749
_cell_angle_alpha 90.00
_cell_angle_beta 90.00
_cell_angle_gamma 120.00
_symmetry_space_group_name_H-M 'P -3'
_symmetry_Int_Tables_number 147
loop_
_symmetry_equiv_pos_as_xyz
'x,y,z'
'-x,-y,-z'
'-y,x-y,z'
'y,-x+y,-z'
'-x+y,-x,z'
'x-y,x,-z'
loop_
_atom_site_label
_atom_site_type_symbol
_atom_site_fract_x
_atom_site_fract_y
_atom_site_fract_z
Tb1 Tb 0.0911 0.4670 0.2352
Tb2 Tb 0.3333 0.6667 0.7252
Ho1 Ho 0.0503 0.2738 0.7225
Er1 Er 0.0000 0.0000 0.0000
```

=====

(3)
The following is a computed powder XRD pattern of Tb12Ho5Er. It was derived from a GGA-PBE-relaxed structure, using Cu Kα (weighted mean of Kα1 and Kα2).
Neutral-atom scattering factors, no anomalous dispersion.

Top 6 peaks for 2θ = 5–70°, by angle:
Position (°2θ)	I_rel	(hkl)
30.95	100	3 3 1
35.88	51	6 0 0
51.65	36	6 6 0
61.41	29	3 9 1
61.50	14	9 3 1
64.49	12	6 6 2

Structure:
```
data_Tb12Ho5Er
_chemical_formula_sum 'Tb24 Ho10 Er2'
_cell_length_a 14.9971
_cell_length_b 15.0300
_cell_length_c 5.0060
_cell_angle_alpha 90.00
_cell_angle_beta 90.00
_cell_angle_gamma 90.00
_symmetry_space_group_name_H-M 'C m m m'
_symmetry_Int_Tables_number 65
_symmetry_space_group_name_Hall '-C 2 2'
loop_
_atom_site_label
_atom_site_type_symbol
_atom_site_fract_x
_atom_site_fract_y
_atom_site_fract_z
Tb1 Tb 0.1664 0.0000 0.0000
Tb2 Tb 0.1663 0.1667 0.5000
Tb3 Tb 0.1662 0.3334 0.0000
Tb4 Tb 0.1661 0.5000 0.5000
Ho1 Ho 0.0000 0.0000 0.5000
Ho2 Ho 0.0000 0.1666 0.0000
Ho3 Ho 0.0000 0.3334 0.5000
Er1 Er 0.0000 0.5000 0.0000
```

=====

(4)
The following is a computed powder XRD pattern of TbHo3Er8. It was derived from a GGA-PBE-relaxed structure, using Cu Kα (weighted mean of Kα1 and Kα2).
Neutral-atom scattering factors, no anomalous dispersion.

Top 10 peaks for 2θ = 5–70°, by angle:
Position (°2θ)	I_rel	(hkl)
20.25	25	1 1 2
23.42	14	2 0 0
33.36	100	2 2 0
39.33	14	3 1 2
41.16	4	2 2 4
47.90	18	4 0 0
52.50	6	3 3 2
53.98	6	4 2 0
59.62	38	4 2 4
63.64	4	5 1 2

Structure:
```
data_TbHo3Er8
_chemical_formula_sum 'Tb2 Ho6 Er16'
_cell_length_a 7.5932
_cell_length_b 7.5932
_cell_length_c 15.2101
_cell_angle_alpha 90.00
_cell_angle_beta 90.00
_cell_angle_gamma 90.00
_symmetry_space_group_name_H-M 'I 4/m m m'
_symmetry_Int_Tables_number 139
_symmetry_space_group_name_Hall '-I 4 2'
loop_
_atom_site_label
_atom_site_type_symbol
_atom_site_fract_x
_atom_site_fract_y
_atom_site_fract_z
Tb1 Tb 0.0000 0.0000 0.0000
Ho1 Ho 0.0000 0.0000 0.5000
Ho2 Ho 0.0000 0.5000 0.2500
Er1 Er 0.2504 0.2504 0.1253
```

=====

(5)
The following is a computed powder XRD pattern of Tb2Ho8Er3. It was derived from a GGA-PBE-relaxed structure, using Cu Kα (weighted mean of Kα1 and Kα2).
Neutral-atom scattering factors, no anomalous dispersion.

Top 12 peaks for 2θ = 5–70°, by angle:
Position (°2θ)	I_rel	(hkl)
25.25	19	2 2 0
29.82	28	1 5 1
31.07	31	0 6 1
32.35	39	0 0 2
33.82	100	2 4 1
35.51	13	0 8 0
41.48	10	2 2 2
48.37	9	4 0 0
48.79	10	0 8 2
58.64	27	2 4 3
59.39	9	4 0 2
65.13	10	3 9 2

Structure:
```
data_Tb2Ho8Er3
_chemical_formula_sum 'Tb4 Ho16 Er6'
_cell_length_a 7.5273
_cell_length_b 20.2243
_cell_length_c 5.5345
_cell_angle_alpha 90.00
_cell_angle_beta 90.00
_cell_angle_gamma 90.00
_symmetry_space_group_name_H-M 'C m m m'
_symmetry_Int_Tables_number 65
_symmetry_space_group_name_Hall '-C 2 2'
loop_
_atom_site_label
_atom_site_type_symbol
_atom_site_fract_x
_atom_site_fract_y
_atom_site_fract_z
Tb1 Tb 0.0000 0.2413 0.0000
Ho1 Ho 0.0000 0.1319 0.5000
Ho2 Ho 0.0000 0.3345 0.5000
Ho3 Ho 0.2123 0.3923 0.0000
Er1 Er 0.0000 0.0000 0.0000
Er2 Er 0.2158 0.5000 0.5000
```

=====

(6)
The following is a computed powder XRD pattern of TbHoEr14. It was derived from a GGA-PBE-relaxed structure, using Cu Kα (weighted mean of Kα1 and Kα2).
Neutral-atom scattering factors, no anomalous dispersion.

Top 12 peaks for 2θ = 5–70°, by angle:
Position (°2θ)	I_rel	(hkl)
28.63	10	1 2 2
31.20	17	2 1 3
31.98	100	2 2 2
32.26	15	0 0 4
32.59	33	4 0 0
33.30	12	1 0 4
45.19	8	0 4 0
46.51	10	4 0 4
53.65	9	0 3 5
57.77	17	6 2 2
64.19	10	4 3 5
65.64	9	2 5 3

Structure:
```
data_TbHoEr14
_chemical_formula_sum 'Tb2 Ho2 Er28'
_cell_length_a 10.9903
_cell_length_b 8.0260
_cell_length_c 11.1005
_cell_angle_alpha 90.00
_cell_angle_beta 90.00
_cell_angle_gamma 90.00
_symmetry_space_group_name_H-M 'A m m 2'
_symmetry_Int_Tables_number 38
loop_
_symmetry_equiv_pos_as_xyz
'x,y,z'
'-x,-y,z'
'-x,y,z'
'x,-y,z'
'x,y+1/2,z+1/2'
'-x,-y+1/2,z+1/2'
'-x,y+1/2,z+1/2'
'x,-y+1/2,z+1/2'
loop_
_atom_site_label
_atom_site_type_symbol
_atom_site_fract_x
_atom_site_fract_y
_atom_site_fract_z
Tb1 Tb 0.0000 0.0000 0.0000
Ho1 Ho 0.0000 0.0000 0.4481
Er1 Er 0.0000 0.2052 0.7215
Er2 Er 0.2335 0.0000 0.2062
Er3 Er 0.2505 0.2097 0.9278
Er4 Er 0.2679 0.0000 0.6495
Er5 Er 0.5000 0.0000 0.4076
Er6 Er 0.5000 0.0000 0.8573
Er7 Er 0.5000 0.2055 0.1351
```

=====

(7)
The following is a computed powder XRD pattern of Tb8Ho3Er. It was derived from a GGA-PBE-relaxed structure, using Cu Kα (weighted mean of Kα1 and Kα2).
Neutral-atom scattering factors, no anomalous dispersion.

Top 11 peaks for 2θ = 5–70°, by angle:
Position (°2θ)	I_rel	(hkl)
20.10	27	1 1 2
23.25	12	2 0 0
33.12	100	2 2 0
39.05	15	3 1 2
40.86	4	2 2 4
47.54	18	4 0 0
52.11	7	3 3 2
53.57	5	4 2 0
59.16	38	4 2 4
63.14	5	5 1 2
69.50	12	4 4 0

Structure:
```
data_Tb8Ho3Er
_chemical_formula_sum 'Tb16 Ho6 Er2'
_cell_length_a 7.6516
_cell_length_b 7.6516
_cell_length_c 15.3003
_cell_angle_alpha 90.00
_cell_angle_beta 90.00
_cell_angle_gamma 90.00
_symmetry_space_group_name_H-M 'I 4/m m m'
_symmetry_Int_Tables_number 139
_symmetry_space_group_name_Hall '-I 4 2'
loop_
_atom_site_label
_atom_site_type_symbol
_atom_site_fract_x
_atom_site_fract_y
_atom_site_fract_z
Tb1 Tb 0.2502 0.2502 0.1248
Ho1 Ho 0.0000 0.0000 0.0000
Ho2 Ho 0.0000 0.5000 0.2500
Er1 Er 0.0000 0.0000 0.5000
```

=====

(8)
The following is a computed powder XRD pattern of Tb2HoEr5. It was derived from a GGA-PBE-relaxed structure, using Cu Kα (weighted mean of Kα1 and Kα2).
Neutral-atom scattering factors, no anomalous dispersion.

Top 12 peaks for 2θ = 5–70°, by angle:
Position (°2θ)	I_rel	(hkl)
26.09	19	2 0 3
32.01	40	5 1 0
32.12	40	0 2 0
33.00	12	5 1 1
33.16	100	3 1 -3
33.26	9	6 0 0
41.84	11	2 2 3
48.29	10	0 0 6
51.31	16	8 0 -3
57.93	20	3 3 -3
59.15	23	0 2 6
61.84	19	8 2 -3

Structure:
```
data_Tb2HoEr5
_chemical_formula_sum 'Tb8 Ho4 Er20'
_cell_length_a 16.1618
_cell_length_b 5.5732
_cell_length_c 11.3076
_cell_angle_alpha 90.00
_cell_angle_beta 90.05
_cell_angle_gamma 90.00
_symmetry_space_group_name_H-M 'C 1 2/m 1'
_symmetry_Int_Tables_number 12
loop_
_symmetry_equiv_pos_as_xyz
'x,y,z'
'-x,-y,-z'
'-x,y,-z'
'x,-y,z'
'x+1/2,y+1/2,z'
'-x+1/2,-y+1/2,-z'
'-x+1/2,y+1/2,-z'
'x+1/2,-y+1/2,z'
loop_
_atom_site_label
_atom_site_type_symbol
_atom_site_fract_x
_atom_site_fract_y
_atom_site_fract_z
Tb1 Tb 0.2121 0.0000 0.0812
Tb2 Tb 0.2123 0.0000 0.4186
Ho1 Ho 0.2274 0.0000 0.7502
Er1 Er 0.0443 0.0000 0.8873
Er2 Er 0.0455 0.0000 0.6117
Er3 Er 0.0874 0.5000 0.0783
Er4 Er 0.0871 0.5000 0.4206
Er5 Er 0.1051 0.5000 0.7499
```

=====

(9)
The following is a computed powder XRD pattern of TbHo10Er4. It was derived from a GGA-PBE-relaxed structure, using Cu Kα (weighted mean of Kα1 and Kα2).
Neutral-atom scattering factors, no anomalous dispersion.

Top 11 peaks for 2θ = 5–70°, by angle:
Position (°2θ)	I_rel	(hkl)
20.23	26	1 2 1
23.40	13	3 1 0
33.33	100	3 1 2
39.30	14	5 0 1
41.12	4	2 4 2
47.85	18	6 2 0
52.45	6	5 0 3
53.92	6	6 2 2
59.56	38	5 5 2
63.58	5	8 1 1
69.96	4	4 8 0

Structure:
```
data_TbHo10Er4
_chemical_formula_sum 'Tb2 Ho20 Er8'
_cell_length_a 12.0269
_cell_length_b 12.0269
_cell_length_c 7.5996
_cell_angle_alpha 90.00
_cell_angle_beta 90.00
_cell_angle_gamma 90.00
_symmetry_space_group_name_H-M 'I 4/m'
_symmetry_Int_Tables_number 87
_symmetry_space_group_name_Hall '-I 4'
loop_
_atom_site_label
_atom_site_type_symbol
_atom_site_fract_x
_atom_site_fract_y
_atom_site_fract_z
Tb1 Tb 0.0000 0.0000 0.0000
Ho1 Ho 0.0000 0.5000 0.2500
Ho2 Ho 0.0999 0.2006 0.2507
Er1 Er 0.1002 0.7000 0.5000
```

=====

(10)
The following is a computed powder XRD pattern of Tb3Ho8Er. It was derived from a GGA-PBE-relaxed structure, using Cu Kα (weighted mean of Kα1 and Kα2).
Neutral-atom scattering factors, no anomalous dispersion.

Top 11 peaks for 2θ = 5–70°, by angle:
Position (°2θ)	I_rel	(hkl)
20.16	25	1 1 2
23.32	14	2 0 0
33.21	100	2 2 0
39.16	14	3 1 2
40.97	4	2 2 4
47.67	18	4 0 0
52.26	6	3 3 2
53.72	6	4 2 0
59.33	38	4 2 4
63.33	5	5 1 2
69.71	12	4 4 0

Structure:
```
data_Tb3Ho8Er
_chemical_formula_sum 'Tb6 Ho16 Er2'
_cell_length_a 7.6275
_cell_length_b 7.6275
_cell_length_c 15.2722
_cell_angle_alpha 90.00
_cell_angle_beta 90.00
_cell_angle_gamma 90.00
_symmetry_space_group_name_H-M 'I 4/m m m'
_symmetry_Int_Tables_number 139
_symmetry_space_group_name_Hall '-I 4 2'
loop_
_atom_site_label
_atom_site_type_symbol
_atom_site_fract_x
_atom_site_fract_y
_atom_site_fract_z
Tb1 Tb 0.0000 0.0000 0.0000
Tb2 Tb 0.0000 0.5000 0.2500
Ho1 Ho 0.2505 0.2505 0.1247
Er1 Er 0.0000 0.0000 0.5000
```

=====

(11)
The following is a computed powder XRD pattern of Tb2Ho15Er2. It was derived from a GGA-PBE-relaxed structure, using Cu Kα (weighted mean of Kα1 and Kα2).
Neutral-atom scattering factors, no anomalous dispersion.

Top 12 peaks for 2θ = 5–70°, by angle:
Position (°2θ)	I_rel	(hkl)
27.62	31	0 2 4
27.96	31	3 0 0
30.64	28	0 0 6
31.66	64	2 0 5
31.97	100	0 3 3
32.40	59	2 2 0
34.77	20	1 1 6
35.96	70	2 2 3
52.07	19	3 3 3
55.31	19	0 3 9
57.33	20	4 2 5
57.79	27	6 0 0

Structure:
```
data_Tb2Ho15Er2
_chemical_formula_sum 'Tb6 Ho45 Er6'
_cell_length_a 11.0529
_cell_length_b 11.0529
_cell_length_c 17.5072
_cell_angle_alpha 90.00
_cell_angle_beta 90.00
_cell_angle_gamma 120.00
_symmetry_space_group_name_H-M 'R -3 m'
_symmetry_Int_Tables_number 166
_symmetry_space_group_name_Hall '-R 3 2"'
loop_
_atom_site_label
_atom_site_type_symbol
_atom_site_fract_x
_atom_site_fract_y
_atom_site_fract_z
Tb1 Tb 0.0000 0.0000 0.1775
Ho1 Ho 0.0000 0.2985 0.5000
Ho2 Ho 0.0000 0.5000 0.0000
Ho3 Ho 0.0128 0.5064 0.6358
Er1 Er 0.0000 0.0000 0.4037
```

=====

(12)
The following is a computed powder XRD pattern of TbHo2Er6. It was derived from a GGA-PBE-relaxed structure, using Cu Kα (weighted mean of Kα1 and Kα2).
Neutral-atom scattering factors, no anomalous dispersion.

Top 12 peaks for 2θ = 5–70°, by angle:
Position (°2θ)	I_rel	(hkl)
30.63	33	0 6 0
31.28	57	2 2 -2
31.55	22	1 5 1
31.77	60	1 1 2
32.06	100	3 3 0
32.16	16	3 3 -1
33.71	31	0 6 1
36.08	31	2 4 -2
40.78	16	1 5 2
55.42	17	3 9 -1
57.91	21	1 3 -4
61.29	16	4 0 -4

Structure:
```
data_TbHo2Er6
_chemical_formula_sum 'Tb4 Ho8 Er24'
_cell_length_a 9.8211
_cell_length_b 17.5117
_cell_length_c 6.6371
_cell_angle_alpha 90.00
_cell_angle_beta 103.79
_cell_angle_gamma 90.00
_symmetry_space_group_name_H-M 'C 1 2/c 1'
_symmetry_Int_Tables_number 15
loop_
_symmetry_equiv_pos_as_xyz
'x,y,z'
'-x,-y,-z'
'-x,y,-z+1/2'
'x,-y,z+1/2'
'x+1/2,y+1/2,z'
'-x+1/2,-y+1/2,-z'
'-x+1/2,y+1/2,-z+1/2'
'x+1/2,-y+1/2,z+1/2'
loop_
_atom_site_label
_atom_site_type_symbol
_atom_site_fract_x
_atom_site_fract_y
_atom_site_fract_z
Tb1 Tb 0.0000 0.0265 0.2500
Ho1 Ho 0.1602 0.1444 0.6653
Er1 Er 0.0375 0.3428 0.5104
Er2 Er 0.1586 0.1974 0.1626
Er3 Er 0.1759 0.4768 0.9003
```